[1]
Diffraction record for La2Sm3Th4. The X-ray diffraction stick pattern is theoretical, not measured: it uses a structure optimized by DFT (GGA-PBE) and a wavelength of 1.5418 Å.

Cell and atoms:
a = 9.6278 Å, b = 9.6278 Å, c = 9.8521 Å
α = 114.96°, β = 114.96°, γ = 21.73°
Positions (direct):
La (0.1636, 0.1636, 0.0027)
La (0.8364, 0.8364, 0.9973)
Sm (0.3538, 0.3538, 0.3349)
Sm (0.5000, 0.5000, 0.0000)
Sm (0.6462, 0.6462, 0.6651)
Th (0.0254, 0.0254, 0.3378)
Th (0.3162, 0.3162, 0.6587)
Th (0.6838, 0.6838, 0.3413)
Th (0.9746, 0.9746, 0.6622)

Main lines, sorted by position (10° ≤ 2θ ≤ 80°):
2θ/deg, Rel. int.
28.56, 31
29.15, 33
30.14, 57
31.43, 100
32.95, 30
33.09, 67
37.04, 20
50.17, 27
53.27, 20
59.74, 34



[2]
Diffraction record for Ac2Nd3Cd2. The X-ray diffraction stick pattern is theoretical, not measured: it uses a structure optimized by DFT (GGA-PBE) and a wavelength of 1.5418 Å.

Cell and atoms:
a = 3.8451 Å, b = 33.3517 Å, c = 3.8133 Å
α = 90.00°, β = 90.00°, γ = 90.00°
Positions (direct):
Ac (0.0000, 0.1980, 0.0000)
Ac (0.0000, 0.8020, 0.0000)
Ac (0.5000, 0.3020, 0.0000)
Ac (0.5000, 0.6980, 0.0000)
Nd (0.0000, 0.0735, 0.0000)
Nd (0.0000, 0.5000, 0.5000)
Nd (0.0000, 0.9265, 0.0000)
Nd (0.5000, 0.0000, 0.5000)
Nd (0.5000, 0.4265, 0.0000)
Nd (0.5000, 0.5735, 0.0000)
Cd (0.0000, 0.3692, 0.5000)
Cd (0.0000, 0.6308, 0.5000)
Cd (0.5000, 0.1308, 0.5000)
Cd (0.5000, 0.8692, 0.5000)

Main lines, sorted by position (10° ≤ 2θ ≤ 80°):
2θ/deg, Rel. int.
26.74, 23
29.86, 100
31.80, 90
33.20, 80
34.08, 18
47.27, 21
47.70, 18
53.32, 48
57.30, 32
58.11, 33



[3]
Diffraction record for LiAcTlPb. The X-ray diffraction stick pattern is theoretical, not measured: it uses a structure optimized by DFT (GGA-PBE) and a wavelength of 1.5418 Å.

Cell and atoms:
a = 8.3481 Å, b = 4.8292 Å, c = 6.5159 Å
α = 90.00°, β = 115.32°, γ = 90.00°
Positions (direct):
Li (0.0000, 0.0000, 0.0000)
Li (0.5000, 0.5000, 0.0000)
Ac (0.4963, 0.0000, 0.4893)
Ac (0.9963, 0.5000, 0.4893)
Tl (0.2770, 0.0000, 0.8324)
Tl (0.7770, 0.5000, 0.8324)
Pb (0.2134, 0.5000, 0.1397)
Pb (0.7134, 0.0000, 0.1397)

Main lines, sorted by position (10° ≤ 2θ ≤ 80°):
2θ/deg, Rel. int.
21.86, 71
23.55, 14
29.42, 100
33.20, 89
37.28, 84
48.19, 26
50.77, 28
60.83, 39
62.45, 25
64.62, 18



[4]
Diffraction record for RbCuSbSe3. The X-ray diffraction stick pattern is theoretical, not measured: it uses a structure optimized by DFT (GGA-PBE) and a wavelength of 1.5418 Å.

Cell and atoms:
a = 9.6534 Å, b = 4.0750 Å, c = 9.7005 Å
α = 90.00°, β = 111.06°, γ = 90.00°
Positions (direct):
Rb (0.2022, 0.2500, 0.2413)
Rb (0.7978, 0.7500, 0.7587)
Cu (0.0708, 0.2500, 0.5795)
Cu (0.9292, 0.7500, 0.4205)
Sb (0.3317, 0.7500, 0.8548)
Sb (0.6683, 0.2500, 0.1452)
Se (0.1266, 0.2500, 0.8516)
Se (0.1989, 0.7500, 0.5367)
Se (0.4653, 0.7500, 0.1631)
Se (0.5347, 0.2500, 0.8369)
Se (0.8011, 0.2500, 0.4633)
Se (0.8734, 0.7500, 0.1484)

Main lines, sorted by position (10° ≤ 2θ ≤ 80°):
2θ/deg, Rel. int.
11.09, 100
28.80, 85
29.56, 44
29.60, 35
35.45, 16
35.56, 15
43.82, 35
44.46, 25
47.47, 33
53.76, 14



[5]
Diffraction record for KNa3Pb3. The X-ray diffraction stick pattern is theoretical, not measured: it uses a structure optimized by DFT (GGA-PBE) and a wavelength of 1.5418 Å.

Cell and atoms:
a = 8.5267 Å, b = 8.5267 Å, c = 8.5267 Å
α = 90.00°, β = 90.00°, γ = 90.00°
Positions (direct):
K (0.0000, 0.0000, 0.0000)
K (0.5000, 0.5000, 0.5000)
Na (0.0000, 0.2500, 0.5000)
Na (0.0000, 0.7500, 0.5000)
Na (0.2500, 0.5000, 0.0000)
Na (0.5000, 0.0000, 0.2500)
Na (0.5000, 0.0000, 0.7500)
Na (0.7500, 0.5000, 0.0000)
Pb (0.0000, 0.5000, 0.2500)
Pb (0.0000, 0.5000, 0.7500)
Pb (0.2500, 0.0000, 0.5000)
Pb (0.5000, 0.2500, 0.0000)
Pb (0.5000, 0.7500, 0.0000)
Pb (0.7500, 0.0000, 0.5000)

Main lines, sorted by position (10° ≤ 2θ ≤ 80°):
2θ/deg, Rel. int.
14.69, 38
20.84, 19
23.33, 100
25.59, 46
36.50, 35
38.05, 30
39.55, 29
42.40, 22
48.95, 29
58.27, 27



[6]
Diffraction record for Cd7GeN6. The X-ray diffraction stick pattern is theoretical, not measured: it uses a structure optimized by DFT (GGA-PBE) and a wavelength of 1.5418 Å.

Cell and atoms:
a = 5.9633 Å, b = 5.9633 Å, c = 13.7049 Å
α = 90.00°, β = 90.00°, γ = 60.53°
Positions (direct):
Cd (0.0801, 0.4799, 0.6193)
Cd (0.0801, 0.4799, 0.8807)
Cd (0.1022, 0.8978, 0.7500)
Cd (0.2462, 0.7538, 0.0317)
Cd (0.2462, 0.7538, 0.4683)
Cd (0.4799, 0.0801, 0.1193)
Cd (0.4799, 0.0801, 0.3807)
Cd (0.5201, 0.9199, 0.6193)
Cd (0.5201, 0.9199, 0.8807)
Cd (0.7538, 0.2462, 0.5317)
Cd (0.7538, 0.2462, 0.9683)
Cd (0.8978, 0.1022, 0.2500)
Cd (0.9199, 0.5201, 0.1193)
Cd (0.9199, 0.5201, 0.3807)
Ge (0.3851, 0.6149, 0.2500)
Ge (0.6149, 0.3851, 0.7500)
N (0.0451, 0.6649, 0.2500)
N (0.1689, 0.1689, 0.0000)
N (0.1689, 0.1689, 0.5000)
N (0.3351, 0.9549, 0.2500)
N (0.4274, 0.5726, 0.6376)
N (0.4274, 0.5726, 0.8624)
N (0.5726, 0.4274, 0.1376)
N (0.5726, 0.4274, 0.3624)
N (0.6649, 0.0451, 0.7500)
N (0.8311, 0.8311, 0.0000)
N (0.8311, 0.8311, 0.5000)
N (0.9549, 0.3351, 0.7500)

Main lines, sorted by position (10° ≤ 2θ ≤ 80°):
2θ/deg, Rel. int.
29.73, 30
31.35, 100
34.84, 38
35.19, 31
35.76, 20
35.97, 30
37.06, 28
43.75, 33
46.43, 11
50.79, 12



[7]
Diffraction record for Pm5SmPt2. The X-ray diffraction stick pattern is theoretical, not measured: it uses a structure optimized by DFT (GGA-PBE) and a wavelength of 1.5418 Å.

Cell and atoms:
a = 4.0340 Å, b = 7.5880 Å, c = 16.2855 Å
α = 90.00°, β = 90.00°, γ = 90.00°
Positions (direct):
Pm (0.0000, 0.0000, 0.0000)
Pm (0.0000, 0.2450, 0.3467)
Pm (0.0000, 0.2450, 0.6533)
Pm (0.0000, 0.7550, 0.3467)
Pm (0.0000, 0.7550, 0.6533)
Pm (0.5000, 0.2550, 0.1533)
Pm (0.5000, 0.2550, 0.8467)
Pm (0.5000, 0.5000, 0.5000)
Pm (0.5000, 0.7450, 0.1533)
Pm (0.5000, 0.7450, 0.8467)
Sm (0.0000, 0.5000, 0.0000)
Sm (0.5000, 0.0000, 0.5000)
Pt (0.0000, 0.0000, 0.1999)
Pt (0.0000, 0.0000, 0.8001)
Pt (0.5000, 0.5000, 0.3001)
Pt (0.5000, 0.5000, 0.6999)

Main lines, sorted by position (10° ≤ 2θ ≤ 80°):
2θ/deg, Rel. int.
25.00, 28
27.33, 29
27.55, 44
32.25, 69
32.87, 100
33.00, 38
36.48, 45
42.92, 47
44.95, 41
56.39, 28



[8]
Diffraction record for CsPa2Se6. The X-ray diffraction stick pattern is theoretical, not measured: it uses a structure optimized by DFT (GGA-PBE) and a wavelength of 1.5418 Å.

Cell and atoms:
a = 10.0773 Å, b = 10.0773 Å, c = 10.0773 Å
α = 60.00°, β = 60.00°, γ = 60.00°
Positions (direct):
Cs (0.1250, 0.1250, 0.1250)
Cs (0.8750, 0.8750, 0.8750)
Pa (0.0000, 0.5000, 0.5000)
Pa (0.5000, 0.0000, 0.5000)
Pa (0.5000, 0.5000, 0.0000)
Pa (0.5000, 0.5000, 0.5000)
Se (0.1702, 0.1702, 0.5798)
Se (0.1702, 0.5798, 0.1702)
Se (0.1702, 0.5798, 0.5798)
Se (0.4202, 0.4202, 0.8298)
Se (0.4202, 0.8298, 0.4202)
Se (0.4202, 0.8298, 0.8298)
Se (0.5798, 0.1702, 0.1702)
Se (0.5798, 0.1702, 0.5798)
Se (0.5798, 0.5798, 0.1702)
Se (0.8298, 0.4202, 0.4202)
Se (0.8298, 0.4202, 0.8298)
Se (0.8298, 0.8298, 0.4202)

Main lines, sorted by position (10° ≤ 2θ ≤ 80°):
2θ/deg, Rel. int.
10.75, 64
20.67, 100
21.60, 52
32.65, 36
35.64, 85
41.55, 20
42.06, 29
45.45, 18
49.10, 43
64.01, 16



[9]
Diffraction record for SrCu2Rh2. The X-ray diffraction stick pattern is theoretical, not measured: it uses a structure optimized by DFT (GGA-PBE) and a wavelength of 1.5418 Å.

Cell and atoms:
a = 4.1112 Å, b = 4.1112 Å, c = 10.7561 Å
α = 90.00°, β = 90.00°, γ = 90.00°
Positions (direct):
Sr (0.0000, 0.0000, 0.0000)
Sr (0.5000, 0.5000, 0.5000)
Cu (0.0000, 0.0000, 0.3874)
Cu (0.0000, 0.0000, 0.6126)
Cu (0.5000, 0.5000, 0.1126)
Cu (0.5000, 0.5000, 0.8874)
Rh (0.0000, 0.5000, 0.2500)
Rh (0.0000, 0.5000, 0.7500)
Rh (0.5000, 0.0000, 0.2500)
Rh (0.5000, 0.0000, 0.7500)

Main lines, sorted by position (10° ≤ 2θ ≤ 80°):
2θ/deg, Rel. int.
16.48, 17
33.15, 29
35.09, 100
44.05, 49
45.98, 29
47.71, 18
56.23, 12
64.06, 15
66.95, 13
75.19, 21



[10]
Diffraction record for Sc2AgCl. The X-ray diffraction stick pattern is theoretical, not measured: it uses a structure optimized by DFT (GGA-PBE) and a wavelength of 1.5418 Å.

Cell and atoms:
a = 3.4497 Å, b = 3.4497 Å, c = 14.2355 Å
α = 90.00°, β = 90.00°, γ = 90.00°
Positions (direct):
Sc (0.0000, 0.0000, 0.0000)
Sc (0.0000, 0.0000, 0.2350)
Sc (0.5000, 0.5000, 0.5000)
Sc (0.5000, 0.5000, 0.7350)
Ag (0.0000, 0.0000, 0.6379)
Ag (0.5000, 0.5000, 0.1379)
Cl (0.0000, 0.0000, 0.4162)
Cl (0.5000, 0.5000, 0.9162)

Main lines, sorted by position (10° ≤ 2θ ≤ 80°):
2θ/deg, Rel. int.
12.44, 79
26.59, 26
32.08, 95
36.85, 87
39.03, 21
41.11, 100
53.10, 28
63.40, 24
64.85, 24
69.27, 38



[11]
Diffraction record for ZrAl4Ga4. The X-ray diffraction stick pattern is theoretical, not measured: it uses a structure optimized by DFT (GGA-PBE) and a wavelength of 1.5418 Å.

Cell and atoms:
a = 3.8787 Å, b = 5.1217 Å, c = 9.0221 Å
α = 87.38°, β = 89.66°, γ = 68.06°
Positions (direct):
Zr (0.0000, 0.0000, 0.0000)
Al (0.1775, 0.6536, 0.5960)
Al (0.4132, 0.1703, 0.2162)
Al (0.5868, 0.8297, 0.7838)
Al (0.8225, 0.3464, 0.4040)
Ga (0.1162, 0.7594, 0.3106)
Ga (0.2881, 0.4230, 0.8943)
Ga (0.7119, 0.5770, 0.1057)
Ga (0.8838, 0.2406, 0.6894)

Main lines, sorted by position (10° ≤ 2θ ≤ 80°):
2θ/deg, Rel. int.
24.80, 54
37.61, 100
37.74, 98
39.30, 88
39.60, 85
43.66, 68
43.96, 52
46.85, 56
65.86, 35
66.10, 34



[12]
Diffraction record for DyY2Ho2Er2. The X-ray diffraction stick pattern is theoretical, not measured: it uses a structure optimized by DFT (GGA-PBE) and a wavelength of 1.5418 Å.

Cell and atoms:
a = 8.7291 Å, b = 8.7291 Å, c = 8.7291 Å
α = 37.65°, β = 37.65°, γ = 37.65°
Positions (direct):
Dy (0.0000, 0.0000, 0.0000)
Y (0.1422, 0.1422, 0.1422)
Y (0.8578, 0.8578, 0.8578)
Ho (0.4270, 0.4270, 0.4270)
Ho (0.5730, 0.5730, 0.5730)
Er (0.2847, 0.2847, 0.2847)
Er (0.7153, 0.7153, 0.7153)

Main lines, sorted by position (10° ≤ 2θ ≤ 80°):
2θ/deg, Rel. int.
10.92, 7
31.63, 100
31.77, 99
45.44, 37
56.25, 20
56.53, 58
66.06, 12
66.37, 12
75.17, 16
75.39, 16